[1]
This entry pairs a crystal structure of BaLiTlPd3 with its calculated XRD peak list. Radiation: Cu Kα, 1.54184 Å. Structure: a cell relaxed with PBE.
No peak broadening, texture or thermal motion is included.

Structural model:
```
data_BaLiTlPd3
_space_group_name_H-M_alt 'C m c m'
_space_group_IT_number 63
_space_group_name_Hall '-C 2c 2'
_cell_length_a 6.1215
_cell_length_b 12.5859
_cell_length_c 6.8730
_cell_angle_alpha 90.00
_cell_angle_beta 90.00
_cell_angle_gamma 90.00
loop_
_atom_site_label
_atom_site_fract_x
_atom_site_fract_y
_atom_site_fract_z
Ba1 0.0000 0.1913 0.2500
Li1 0.0000 0.4340 0.2500
Tl1 0.0000 0.1353 0.7500
Pd1 0.0000 0.3589 0.7500
Pd2 0.2443 0.0000 0.0000
```

Main lines, sorted by position (10° ≤ 2θ ≤ 90°):
2θ (°)  Rel. int.  hkl
16.10  26  1 1 0
20.67  28  1 1 1
28.89  49  1 3 1
29.62  64  0 2 2
32.53  50  2 2 0
38.80  59  0 4 2
39.42  100  2 0 2
40.93  26  1 5 1
41.14  50  2 4 0
59.84  27  2 6 2

[2]
This entry pairs a crystal structure of BaLiZnPd2 with its calculated XRD peak list. Radiation: Cu Kα, 1.54184 Å. Structure: a cell relaxed with PBE.
No peak broadening, texture or thermal motion is included.

Structural model:
```
data_BaLiZnPd2
_space_group_name_H-M_alt 'I -4 m 2'
_space_group_IT_number 119
_space_group_name_Hall 'I -4 -2'
_cell_length_a 4.3760
_cell_length_b 4.3760
_cell_length_c 11.2673
_cell_angle_alpha 90.00
_cell_angle_beta 90.00
_cell_angle_gamma 90.00
loop_
_atom_site_label
_atom_site_fract_x
_atom_site_fract_y
_atom_site_fract_z
Ba1 0.0000 0.0000 0.0000
Li1 0.0000 0.5000 0.7500
Zn1 0.0000 0.5000 0.2500
Pd1 0.0000 0.0000 0.3777
```

Main lines, sorted by position (10° ≤ 2θ ≤ 90°):
2θ (°)  Rel. int.  hkl
21.79  16  1 0 1
28.85  57  1 1 0
31.39  100  1 0 3
33.03  50  1 1 2
41.26  52  2 0 0
45.26  41  1 0 5
52.74  45  2 1 3
59.77  17  2 2 0
62.90  30  2 1 5
81.23  14  2 0 8

[3]
This entry pairs a crystal structure of BaLiZnPd with its calculated XRD peak list. Radiation: Cu Kα, 1.54184 Å. Structure: a cell relaxed with PBE.
No peak broadening, texture or thermal motion is included.

Structural model:
```
data_BaLiZnPd
_space_group_name_H-M_alt 'C 1 m 1'
_space_group_IT_number 8
_cell_length_a 7.8220
_cell_length_b 4.5400
_cell_length_c 6.2353
_cell_angle_alpha 90.00
_cell_angle_beta 114.94
_cell_angle_gamma 90.00
loop_
_space_group_symop_operation_xyz
'x,y,z'
'x,-y,z'
'x+1/2,y+1/2,z'
'x+1/2,-y+1/2,z'
loop_
_atom_site_label
_atom_site_fract_x
_atom_site_fract_y
_atom_site_fract_z
Ba1 0.0000 0.0000 0.0000
Li1 0.1863 0.0000 0.5569
Zn1 0.4856 0.0000 0.4545
Pd1 0.3029 0.5000 0.4061
```

Main lines, sorted by position (10° ≤ 2θ ≤ 90°):
2θ (°)  Rel. int.  hkl
15.67  23  0 0 1
23.28  66  1 1 0
24.97  38  1 1 -1
31.06  100  2 0 -2
31.65  42  0 0 2
34.92  29  1 1 -2
39.71  30  0 2 0
39.87  60  3 1 -1
51.61  28  0 2 2
51.87  20  3 1 1

[4]
This entry pairs a crystal structure of BaLi2PrTl4 with its calculated XRD peak list. Radiation: Cu Kα, 1.54184 Å. Structure: a cell relaxed with PBE.
No peak broadening, texture or thermal motion is included.

Structural model:
```
data_BaLi2PrTl4
_space_group_name_H-M_alt 'R -3 m'
_space_group_IT_number 166
_space_group_name_Hall '-R 3 2"'
_cell_length_a 4.9262
_cell_length_b 4.9262
_cell_length_c 33.8676
_cell_angle_alpha 90.00
_cell_angle_beta 90.00
_cell_angle_gamma 120.00
loop_
_atom_site_label
_atom_site_fract_x
_atom_site_fract_y
_atom_site_fract_z
Ba1 0.0000 0.0000 0.0000
Li1 0.0000 0.0000 0.2348
Pr1 0.0000 0.0000 0.5000
Tl1 0.0000 0.0000 0.1173
Tl2 0.0000 0.0000 0.3996
```

Main lines, sorted by position (10° ≤ 2θ ≤ 90°):
2θ (°)  Rel. int.  hkl
21.48  59  0 1 2
23.35  49  1 0 4
29.73  90  0 1 8
33.79  76  1 0 10
36.48  100  1 1 0
47.74  25  2 0 8
50.57  33  0 2 10
61.54  23  1 2 8
62.07  19  1 1 18
63.95  29  2 1 10

[5]
This entry pairs a crystal structure of Ba6Li2Pt with its calculated XRD peak list. Radiation: Cu Kα, 1.54184 Å. Structure: a cell relaxed with PBE.
No peak broadening, texture or thermal motion is included.

Structural model:
```
data_Ba6Li2Pt
_space_group_name_H-M_alt 'P 1 21/c 1'
_space_group_IT_number 14
_cell_length_a 8.0660
_cell_length_b 9.3371
_cell_length_c 14.4095
_cell_angle_alpha 90.00
_cell_angle_beta 123.51
_cell_angle_gamma 90.00
loop_
_space_group_symop_operation_xyz
'x,y,z'
'-x,-y,-z'
'-x,y+1/2,-z+1/2'
'x,-y+1/2,z+1/2'
loop_
_atom_site_label
_atom_site_fract_x
_atom_site_fract_y
_atom_site_fract_z
Ba1 0.1216 0.1694 0.4482
Ba2 0.2885 0.6988 0.4457
Ba3 0.3659 0.0256 0.2510
Li1 0.1955 0.1062 0.7564
Pt1 0.5000 0.0000 0.5000
```

Main lines, sorted by position (10° ≤ 2θ ≤ 90°):
2θ (°)  Rel. int.  hkl
12.00  100  0 1 1
14.51  89  1 1 -1
14.75  63  0 0 2
23.20  74  1 2 0
24.04  79  2 1 -2
24.15  60  0 2 2
24.91  96  1 0 -4
25.11  77  2 1 -1
30.79  75  1 3 -1
43.23  69  2 3 -5

[6]
This entry pairs a crystal structure of Ba2Li5Pt5 with its calculated XRD peak list. Radiation: Cu Kα, 1.54184 Å. Structure: a cell relaxed with PBE.
No peak broadening, texture or thermal motion is included.

Structural model:
```
data_Ba2Li5Pt5
_space_group_name_H-M_alt 'P m m m'
_space_group_IT_number 47
_cell_length_a 4.1619
_cell_length_b 5.6341
_cell_length_c 9.6379
_cell_angle_alpha 90.00
_cell_angle_beta 90.00
_cell_angle_gamma 90.00
loop_
_space_group_symop_operation_xyz
'x,y,z'
'-x,-y,-z'
'-x,-y,z'
'x,y,-z'
'x,-y,-z'
'-x,y,z'
'-x,y,-z'
'x,-y,z'
loop_
_atom_site_label
_atom_site_fract_x
_atom_site_fract_y
_atom_site_fract_z
Ba1 0.0000 0.0000 0.0000
Ba2 0.0000 0.5000 0.5000
Li1 0.0000 0.0000 0.3142
Li2 0.0000 0.5000 0.1671
Li3 0.5000 0.0000 0.5000
Pt1 0.5000 0.2481 0.2505
Pt2 0.5000 0.5000 0.0000
```

Main lines, sorted by position (10° ≤ 2θ ≤ 90°):
2θ (°)  Rel. int.  hkl
21.35  62  1 0 0
28.22  56  1 1 1
28.33  92  1 0 2
36.96  100  0 2 2
37.32  49  0 0 4
38.59  44  1 2 0
43.08  46  1 2 2
43.45  55  2 0 0
54.78  32  1 2 4
58.36  54  2 2 2

[7]
This entry pairs a crystal structure of Ba2LiSi3Pt12 with its calculated XRD peak list. Radiation: Cu Kα, 1.54184 Å. Structure: a cell relaxed with PBE.
No peak broadening, texture or thermal motion is included.

Structural model:
```
data_Ba2LiSi3Pt12
_space_group_name_H-M_alt 'R -3 m'
_space_group_IT_number 166
_space_group_name_Hall '-R 3 2"'
_cell_length_a 8.3213
_cell_length_b 8.3213
_cell_length_c 18.3817
_cell_angle_alpha 90.00
_cell_angle_beta 90.00
_cell_angle_gamma 120.00
loop_
_atom_site_label
_atom_site_fract_x
_atom_site_fract_y
_atom_site_fract_z
Ba1 0.0000 0.0000 0.1182
Li1 0.0000 0.0000 0.5000
Si1 0.0000 0.5000 0.0000
Pt1 0.0180 0.5090 0.1253
Pt2 0.0359 0.5180 0.3671
```

Main lines, sorted by position (10° ≤ 2θ ≤ 90°):
2θ (°)  Rel. int.  hkl
21.36  10  1 1 0
31.55  100  0 2 4
33.25  8  2 1 1
43.50  44  2 2 0
46.90  37  2 0 8
54.72  18  4 0 4
65.88  12  0 4 8
72.37  13  2 4 4
77.36  13  2 2 12
82.30  10  4 2 8

[8]
This entry pairs a crystal structure of BaLiSiPt with its calculated XRD peak list. Radiation: Cu Kα, 1.54184 Å. Structure: a cell relaxed with PBE.
No peak broadening, texture or thermal motion is included.

Structural model:
```
data_BaLiSiPt
_space_group_name_H-M_alt 'R 3 m'
_space_group_IT_number 160
_space_group_name_Hall 'R 3 -2"'
_cell_length_a 4.3139
_cell_length_b 4.3139
_cell_length_c 17.2659
_cell_angle_alpha 90.00
_cell_angle_beta 90.00
_cell_angle_gamma 120.00
loop_
_atom_site_label
_atom_site_fract_x
_atom_site_fract_y
_atom_site_fract_z
Ba1 0.0000 0.0000 0.0000
Li1 0.0000 0.0000 0.8148
Si1 0.0000 0.0000 0.5199
Pt1 0.0000 0.0000 0.1946
```

Main lines, sorted by position (10° ≤ 2θ ≤ 90°):
2θ (°)  Rel. int.  hkl
15.40  26  0 0 3
24.38  100  1 0 1
25.99  24  0 1 2
31.08  30  0 0 6
31.67  58  1 0 4
35.40  62  0 1 5
41.88  53  1 1 0
53.06  40  1 1 6
55.97  17  2 0 5
58.93  16  1 0 10

[9]
This entry pairs a crystal structure of BaLiZn2Pt2 with its calculated XRD peak list. Radiation: Cu Kα, 1.54184 Å. Structure: a cell relaxed with PBE.
No peak broadening, texture or thermal motion is included.

Structural model:
```
data_BaLiZn2Pt2
_space_group_name_H-M_alt 'P -3 m 1'
_space_group_IT_number 164
_space_group_name_Hall '-P 3 2"'
_cell_length_a 4.3918
_cell_length_b 4.3918
_cell_length_c 7.5529
_cell_angle_alpha 90.00
_cell_angle_beta 90.00
_cell_angle_gamma 120.00
loop_
_atom_site_label
_atom_site_fract_x
_atom_site_fract_y
_atom_site_fract_z
Ba1 0.0000 0.0000 0.0000
Li1 0.0000 0.0000 0.5000
Zn1 0.3333 0.6667 0.3466
Pt1 0.3333 0.6667 0.6973
```

Main lines, sorted by position (10° ≤ 2θ ≤ 90°):
2θ (°)  Rel. int.  hkl
26.23  100  1 0 1
33.44  58  0 1 2
35.66  27  0 0 3
41.11  69  1 1 0
43.09  15  1 0 3
49.42  18  0 2 1
53.99  15  2 0 2
55.53  44  1 1 3
66.17  15  2 1 1
70.03  14  1 2 2

[10]
This entry pairs a crystal structure of Ba2LiZn6Pt with its calculated XRD peak list. Radiation: Cu Kα, 1.54184 Å. Structure: a cell relaxed with PBE.
No peak broadening, texture or thermal motion is included.

Structural model:
```
data_Ba2LiZn6Pt
_space_group_name_H-M_alt 'C 1 2/m 1'
_space_group_IT_number 12
_cell_length_a 9.8224
_cell_length_b 9.8584
_cell_length_c 6.9440
_cell_angle_alpha 90.00
_cell_angle_beta 134.85
_cell_angle_gamma 90.00
loop_
_space_group_symop_operation_xyz
'x,y,z'
'-x,-y,-z'
'-x,y,-z'
'x,-y,z'
'x+1/2,y+1/2,z'
'-x+1/2,-y+1/2,-z'
'-x+1/2,y+1/2,-z'
'x+1/2,-y+1/2,z'
loop_
_atom_site_label
_atom_site_fract_x
_atom_site_fract_y
_atom_site_fract_z
Ba1 0.0000 0.2501 0.0000
Li1 0.0000 0.0000 0.5000
Zn1 0.0000 0.2455 0.5000
Zn2 0.2454 0.0000 0.9909
Zn3 0.2456 0.0000 0.5007
Pt1 0.0000 0.5000 0.5000
```

Main lines, sorted by position (10° ≤ 2θ ≤ 90°):
2θ (°)  Rel. int.  hkl
15.59  60  1 1 0
25.60  96  2 0 0
30.10  38  1 1 1
31.49  93  2 2 0
36.48  100  0 4 0
36.59  50  4 0 -2
39.91  21  1 3 1
45.11  35  2 4 0
52.58  86  4 0 0
88.83  27  4 0 2

[11]
This entry pairs a crystal structure of Rb2BaLi2 with its calculated XRD peak list. Radiation: Cu Kα, 1.54184 Å. Structure: a cell relaxed with PBE.
No peak broadening, texture or thermal motion is included.

Structural model:
```
data_Rb2BaLi2
_space_group_name_H-M_alt 'I 4/m m m'
_space_group_IT_number 139
_space_group_name_Hall '-I 4 2'
_cell_length_a 6.5242
_cell_length_b 6.5242
_cell_length_c 13.1820
_cell_angle_alpha 90.00
_cell_angle_beta 90.00
_cell_angle_gamma 90.00
loop_
_atom_site_label
_atom_site_fract_x
_atom_site_fract_y
_atom_site_fract_z
Rb1 0.0000 0.0000 0.1398
Ba1 0.0000 0.0000 0.5000
Li1 0.0000 0.5000 0.2500
```

Main lines, sorted by position (10° ≤ 2θ ≤ 90°):
2θ (°)  Rel. int.  hkl
19.24  95  1 1 0
23.54  16  1 1 2
24.42  100  1 0 3
27.34  47  2 0 0
36.98  67  2 1 3
39.05  18  2 2 0
43.88  22  3 1 0
46.42  15  2 1 5
46.60  17  3 0 3
54.87  21  3 2 3

[12]
This entry pairs a crystal structure of Ba4LiRe2 with its calculated XRD peak list. Radiation: Cu Kα, 1.54184 Å. Structure: a cell relaxed with PBE.
No peak broadening, texture or thermal motion is included.

Structural model:
```
data_Ba4LiRe2
_space_group_name_H-M_alt 'I 4/m m m'
_space_group_IT_number 139
_space_group_name_Hall '-I 4 2'
_cell_length_a 6.4427
_cell_length_b 6.4427
_cell_length_c 15.3747
_cell_angle_alpha 90.00
_cell_angle_beta 90.00
_cell_angle_gamma 90.00
loop_
_atom_site_label
_atom_site_fract_x
_atom_site_fract_y
_atom_site_fract_z
Ba1 0.0000 0.0000 0.2213
Ba2 0.0000 0.5000 0.0000
Li1 0.0000 0.0000 0.0000
Re1 0.0000 0.0000 0.4282
```

Main lines, sorted by position (10° ≤ 2θ ≤ 90°):
2θ (°)  Rel. int.  hkl
11.51  29  0 0 2
14.91  80  1 0 1
19.49  40  1 1 0
22.69  32  1 1 2
27.69  100  2 0 0
32.26  33  1 0 5
39.56  39  2 2 0
40.39  46  1 1 6
43.02  30  2 1 5
57.82  32  3 1 6

Repeat the eleventh record exactly.
This entry pairs a crystal structure of Rb2BaLi2 with its calculated XRD peak list. Radiation: Cu Kα, 1.54184 Å. Structure: a cell relaxed with PBE.
No peak broadening, texture or thermal motion is included.

Structural model:
```
data_Rb2BaLi2
_space_group_name_H-M_alt 'I 4/m m m'
_space_group_IT_number 139
_space_group_name_Hall '-I 4 2'
_cell_length_a 6.5242
_cell_length_b 6.5242
_cell_length_c 13.1820
_cell_angle_alpha 90.00
_cell_angle_beta 90.00
_cell_angle_gamma 90.00
loop_
_atom_site_label
_atom_site_fract_x
_atom_site_fract_y
_atom_site_fract_z
Rb1 0.0000 0.0000 0.1398
Ba1 0.0000 0.0000 0.5000
Li1 0.0000 0.5000 0.2500
```

Main lines, sorted by position (10° ≤ 2θ ≤ 90°):
2θ (°)  Rel. int.  hkl
19.24  95  1 1 0
23.54  16  1 1 2
24.42  100  1 0 3
27.34  47  2 0 0
36.98  67  2 1 3
39.05  18  2 2 0
43.88  22  3 1 0
46.42  15  2 1 5
46.60  17  3 0 3
54.87  21  3 2 3